Structure and simulated XRD peak list of Na5Ni9O18 (a PBE+U-relaxed structure; Cu Kα).
Intensities are scaled so that the largest is 100.

The 12 most intense peaks (2θ from 10° to 90°), by angle:
d [Å]  I (rel.)
5.540  100
2.770  13
2.480  7
2.446  6
2.439  6
2.385  11
2.160  19
2.119  19
2.114  19
1.737  6
1.709  5
1.605  5

Atomic structure:
Lattice parameters (Å, degrees): 5.815 7.522 8.656 100.45 105.54 95.27
Fractional coordinates of all 32 atoms:
Na 0.000 0.000 0.000
Na 0.005 0.341 0.872
Na 0.007 0.710 0.487
Na 0.993 0.290 0.513
Na 0.995 0.659 0.128
Ni 0.493 0.501 0.166
Ni 0.494 0.834 0.392
Ni 0.497 0.167 0.274
Ni 0.498 0.833 0.059
Ni 0.500 0.500 0.500
Ni 0.502 0.167 0.941
Ni 0.503 0.833 0.726
Ni 0.506 0.166 0.608
Ni 0.507 0.499 0.834
O 0.305 0.601 0.335
O 0.311 0.598 0.995
O 0.314 0.260 0.073
O 0.317 0.915 0.204
O 0.320 0.935 0.529
O 0.322 0.929 0.885
O 0.326 0.578 0.649
O 0.328 0.262 0.436
O 0.329 0.256 0.756
O 0.671 0.744 0.244
O 0.672 0.738 0.564
O 0.674 0.422 0.351
O 0.678 0.071 0.115
O 0.680 0.065 0.471
O 0.683 0.085 0.796
O 0.686 0.740 0.927
O 0.689 0.402 0.005
O 0.695 0.399 0.665